1.
Starting from a DFT-relaxed cell (PBE+U, the Materials Project), the X-ray diffraction stick pattern of Mn12O7F17 was calculated for λ = 1.5418 Å (Cu Kα).
Kinematic intensities with the Lorentz-polarization factor, no thermal factor.

Largest 10 diffraction maxima, in order of falling intensity, 2θ = 5–70°:
2θ/deg  I/Imax
29.0  100
23.6  90
29.1  87
30.1  86
29.9  81
24.7  80
51.3  75
51.7  41
39.5  38
51.5  36

Atomic structure:
```
Mn12O7F17
1.0
4.787 0.000 0.000
-0.275 5.775 0.000
-0.125 -0.060 15.889
Mn O F
12 7 17
direct
0.000 0.000 0.000 Mn
0.002 0.287 0.497 Mn
0.005 0.989 0.655 Mn
0.021 0.976 0.334 Mn
0.027 0.308 0.836 Mn
0.032 0.301 0.161 Mn
0.500 0.794 0.826 Mn
0.503 0.481 0.317 Mn
0.523 0.803 0.156 Mn
0.541 0.468 0.983 Mn
0.557 0.472 0.654 Mn
0.560 0.807 0.497 Mn
0.296 0.536 0.207 O
0.315 0.511 0.882 O
0.758 0.760 0.600 O
0.808 0.028 0.445 O
0.810 0.034 0.111 O
0.815 0.261 0.939 O
0.824 0.245 0.603 O
0.242 0.272 0.391 F
0.251 0.252 0.721 F
0.252 0.019 0.892 F
0.268 0.766 0.711 F
0.272 0.263 0.058 F
0.277 0.037 0.226 F
0.285 0.039 0.553 F
0.295 0.531 0.541 F
0.309 0.762 0.043 F
0.328 0.772 0.390 F
0.756 0.759 0.264 F
0.763 0.528 0.427 F
0.764 0.532 0.093 F
0.764 0.541 0.768 F
0.769 0.759 0.931 F
0.788 0.046 0.776 F
0.815 0.263 0.270 F
```

***

2.
Starting from a DFT-relaxed cell (PBE+U, the Materials Project), the X-ray diffraction stick pattern of Li2V3TeO8 was calculated for λ = 1.5418 Å (Cu Kα).
Kinematic intensities with the Lorentz-polarization factor, no thermal factor.

Largest 10 diffraction maxima, in order of falling intensity, 2θ = 5–70°:
2θ/deg  I/Imax
17.9  100
41.6  50
34.4  35
33.6  20
59.3  16
20.5  11
36.2  11
46.2  10
61.3  10
55.0  8

Atomic structure:
```
Li2V3TeO8
1.0
5.240 -3.018 0.000
5.240 3.018 0.000
-3.487 0.000 5.169
Li V Te O
2 3 1 8
direct
0.000 0.000 0.000 Li
0.742 0.742 0.227 Li
0.371 0.371 0.617 V
0.371 0.875 0.618 V
0.875 0.371 0.618 V
0.374 0.374 0.122 Te
0.127 0.127 0.844 O
0.128 0.590 0.848 O
0.138 0.138 0.414 O
0.153 0.609 0.378 O
0.590 0.128 0.848 O
0.606 0.606 0.818 O
0.609 0.153 0.378 O
0.610 0.610 0.374 O
```

***

3.
Starting from a DFT-relaxed cell (PBE+U, the Materials Project), the X-ray diffraction stick pattern of MgTlV4O10 was calculated for λ = 1.5418 Å (Cu Kα).
Kinematic intensities with the Lorentz-polarization factor, no thermal factor.

Largest 10 diffraction maxima, in order of falling intensity, 2θ = 5–70°:
2θ/deg  I/Imax
8.7  100
26.5  84
18.4  80
35.3  79
15.8  76
32.4  68
14.7  55
29.5  47
44.6  47
25.6  45

Atomic structure:
```
MgTlV4O10
1.0
3.810 0.000 0.000
-1.903 6.103 0.000
-0.015 -1.732 10.155
Mg Tl V O
1 1 4 10
direct
0.000 0.000 0.000 Mg
0.549 0.085 0.226 Tl
0.117 0.210 0.732 V
0.245 0.470 0.478 V
0.814 0.606 0.741 V
0.940 0.861 0.474 V
0.099 0.178 0.538 O
0.129 0.233 0.903 O
0.186 0.351 0.314 O
0.280 0.538 0.702 O
0.407 0.794 0.485 O
0.654 0.286 0.730 O
0.783 0.545 0.518 O
0.865 0.707 0.907 O
0.950 0.882 0.306 O
0.968 0.913 0.692 O
```